Diffraction record for Nb5V3S20. The powder X-ray diffraction pattern is computed, not measured: it uses a crystal structure in the Materials Project, relaxed with GGA-PBE and CuKα.
Neutral-atom scattering factors, no anomalous dispersion.

Most intense lines, 10° ≤ 2θ ≤ 90°, in order of rising 2θ:
hkl  d_spacing  Position (°2θ)  I (rel.)
2 0 -1  8.262  10.71  66
2 0 0  8.026  11.02  29
2 0 -2  5.163  17.17  68
2 0 1  4.992  17.77  31
4 2 -1  2.710  33.06  100
2 0 3  2.496  35.99  26
6 2 -3  2.134  42.35  30
2 2 -4  2.032  44.59  25

Structural model:
a = 18.1788 Å, b = 6.7534 Å, c = 10.3954 Å
α = 90.00°, β = 117.99°, γ = 90.00°
Space group Cm (No. 8)
Asymmetric unit:
Nb 0.0000 0.0000 0.0000 [2 per cell]
Nb 0.0006 0.5000 0.9993 [2 per cell]
Nb 0.1352 0.5000 0.5503 [2 per cell]
Nb 0.4195 0.2528 0.2732 [4 per cell]
V 0.1330 0.0000 0.5415 [2 per cell]
V 0.2922 0.2315 0.7382 [4 per cell]
S 0.0210 0.5000 0.2678 [2 per cell]
S 0.0232 0.0000 0.2719 [2 per cell]
S 0.0353 0.2446 0.5434 [4 per cell]
S 0.0613 0.2496 0.8916 [4 per cell]
S 0.1182 0.2499 0.1153 [4 per cell]
S 0.2088 0.2443 0.4850 [4 per cell]
S 0.2140 0.0000 0.7939 [2 per cell]
S 0.2212 0.5000 0.8019 [2 per cell]
S 0.3008 0.5000 0.1583 [2 per cell]
S 0.3022 0.0000 0.1598 [2 per cell]
S 0.3582 0.5000 0.3823 [2 per cell]
S 0.3602 0.0000 0.3833 [2 per cell]
S 0.3811 0.5000 0.7345 [2 per cell]
S 0.3872 0.0000 0.7272 [2 per cell]
S 0.3979 0.2495 0.0032 [4 per cell]



Diffraction record for NbW3S8. The powder X-ray diffraction pattern is computed, not measured: it uses a crystal structure in the Materials Project, relaxed with GGA-PBE and CuKα.
Neutral-atom scattering factors, no anomalous dispersion.

Most intense lines, 10° ≤ 2θ ≤ 90°, in order of rising 2θ:
hkl  d_spacing  Position (°2θ)  I (rel.)
0 2 0  6.536  13.55  100
1 0 1  2.804  31.92  19
0 1 2  2.742  32.66  25
1 2 1  2.577  34.82  16
0 3 2  2.358  38.17  54
0 5 2  1.912  47.55  32
2 0 0  1.619  56.88  14
2 2 0  1.571  58.76  14

Structural model:
a = 3.2369 Å, b = 13.0712 Å, c = 5.6093 Å
α = 90.00°, β = 90.00°, γ = 90.00°
Space group Pmm2 (No. 25)
Asymmetric unit:
Nb 0.0000 0.0000 0.0000 [1 per cell]
W 0.0000 0.5000 0.6614 [1 per cell]
W 0.5000 0.0000 0.4895 [1 per cell]
W 0.5000 0.5000 0.1615 [1 per cell]
S 0.0000 0.1188 0.6557 [2 per cell]
S 0.0000 0.3809 0.9948 [2 per cell]
S 0.5000 0.1224 0.1667 [2 per cell]
S 0.5000 0.3809 0.4947 [2 per cell]



Diffraction record for Nb6ZnS8. The powder X-ray diffraction pattern is computed, not measured: it uses a crystal structure in the Materials Project, relaxed with GGA-PBE and CuKα.
Neutral-atom scattering factors, no anomalous dispersion.

Most intense lines, 10° ≤ 2θ ≤ 90°, in order of rising 2θ:
hkl  d_spacing  Position (°2θ)  I (rel.)
1 0 0  8.382  10.55  66
2 0 0  4.191  21.20  31
2 1 0  3.168  28.17  36
1 0 1  3.142  28.41  38
1 3 0  2.325  38.73  47
1 2 1  2.314  38.91  100
4 -2 1  1.969  46.09  39
4 1 0  1.829  49.85  28

Structural model:
a = 9.6793 Å, b = 9.6793 Å, c = 3.3888 Å
α = 90.00°, β = 90.00°, γ = 120.00°
Space group P-3 (No. 147)
Asymmetric unit:
Nb 0.1146 0.6282 0.2496 [6 per cell]
Zn 0.0000 0.0000 0.5000 [1 per cell]
S 0.0569 0.3445 0.2507 [6 per cell]
S 0.3333 0.6667 0.7500 [2 per cell]



Diffraction record for Nb5Sb4. The powder X-ray diffraction pattern is computed, not measured: it uses a crystal structure in the Materials Project, relaxed with GGA-PBE and CuKα.
Neutral-atom scattering factors, no anomalous dispersion.

Most intense lines, 10° ≤ 2θ ≤ 90°, in order of rising 2θ:
hkl  d_spacing  Position (°2θ)  I (rel.)
1 2 1  2.745  32.62  19
3 3 0  2.460  36.52  39
3 0 1  2.429  37.00  100
4 2 0  2.334  38.58  23
0 0 2  1.697  54.05  11
4 5 1  1.469  63.29  15
3 3 2  1.397  67.00  13
7 2 1  1.321  71.43  11

Structural model:
a = 10.4374 Å, b = 10.4374 Å, c = 3.3935 Å
α = 90.00°, β = 90.00°, γ = 90.00°
Space group I4/m (No. 87)
Asymmetric unit:
Nb 0.0000 0.0000 0.0000 [2 per cell]
Nb 0.0462 0.3444 0.0000 [8 per cell]
Sb 0.1353 0.8222 0.5000 [8 per cell]